Diffraction record for TmI3. The powder XRD pattern is computed, not measured: it uses DFT lattice parameters and positions (PBE) and Cu Kα (weighted mean of Kα1 and Kα2).

```
TmI3
1.0
11.691 0.000 0.000
-5.846 10.125 0.000
0.000 0.000 3.952
Tm I
2 6
Direct
0.333 0.667 0.250
0.667 0.333 0.750
0.220 0.440 0.750
0.220 0.780 0.750
0.440 0.220 0.250
0.560 0.780 0.750
0.780 0.220 0.250
0.780 0.560 0.250
```

Principal peaks in the range 2θ from 10° to 90°, by angle:
2θ = 15.2°, I = 54.1, hkl 1 1 0; 2θ = 17.5°, I = 80.7, hkl 2 0 0; 2θ = 28.7°, I = 100.0, hkl 2 0 1; 2θ = 31.9°, I = 35.2, hkl 3 1 0; 2θ = 32.6°, I = 45.0, hkl 2 1 1; 2θ = 35.0°, I = 59.5, hkl 3 0 1; 2θ = 39.4°, I = 71.4, hkl 3 1 1; 2θ = 46.6°, I = 36.6, hkl 3 3 0

=====

Diffraction record for UI3. The powder XRD pattern is computed, not measured: it uses DFT lattice parameters and positions (PBE) and Cu Kα (weighted mean of Kα1 and Kα2).

```
UI3
1.0
4.215 0.000 0.000
0.000 15.484 0.000
0.000 0.000 10.020
U I
4 12
Direct
0.000 0.238 0.250
0.000 0.762 0.750
0.500 0.262 0.750
0.500 0.738 0.250
0.000 0.155 0.568
0.000 0.155 0.932
0.000 0.410 0.750
0.000 0.590 0.250
0.000 0.845 0.068
0.000 0.845 0.432
0.500 0.090 0.250
0.500 0.345 0.068
0.500 0.345 0.432
0.500 0.655 0.568
0.500 0.655 0.932
0.500 0.910 0.750
```

Principal peaks in the range 2θ from 10° to 90°, by angle:
2θ = 11.4°, I = 100.0, hkl 0 2 0; 2θ = 27.3°, I = 31.3, hkl 1 3 0; 2θ = 28.8°, I = 95.9, hkl 1 3 1; 2θ = 29.1°, I = 69.8, hkl 0 2 3; 2θ = 34.8°, I = 55.9, hkl 1 1 3; 2θ = 37.1°, I = 27.4, hkl 1 5 1; 2θ = 38.6°, I = 27.7, hkl 1 3 3; 2θ = 39.3°, I = 34.8, hkl 0 6 2